1.
Diffraction record for Rb2NaScBr6. The powder X-ray diffraction pattern is calculated, not measured: it uses a DFT-relaxed cell (PBE, the Materials Project) and Cu Ka.
Peak positions follow from Bragg's law for the DFT cell and can differ from measured ones.

Top 12 peaks for 10 to 90 degrees two-theta, by intensity:
27.70 deg, rel. 100.0; 32.09 deg, rel. 77.1; 46.02 deg, rel. 53.7; 54.56 deg, rel. 41.7; 76.35 deg, rel. 22.2; 57.21 deg, rel. 18.1; 85.23 deg, rel. 16.6; 74.09 deg, rel. 16.2; 67.12 deg, rel. 8.2; 13.75 deg, rel. 5.2; 22.54 deg, rel. 4.9; 15.89 deg, rel. 3.6

```
Rb2NaScBr6
1.0
0.000 5.578 5.578
5.578 0.000 5.578
5.578 5.578 0.000
Rb Na Sc Br
2 1 1 6
direct
0.250 0.250 0.250 Rb
0.750 0.750 0.750 Rb
0.000 0.000 0.000 Na
0.500 0.500 0.500 Sc
0.262 0.262 0.738 Br
0.262 0.738 0.262 Br
0.262 0.738 0.738 Br
0.738 0.262 0.262 Br
0.738 0.262 0.738 Br
0.738 0.738 0.262 Br
```



2.
Diffraction record for Nd2Ga2Fe15. The powder X-ray diffraction pattern is calculated, not measured: it uses a DFT-relaxed cell (PBE, the Materials Project) and Cu Ka.
Peak positions follow from Bragg's law for the DFT cell and can differ from measured ones.

Top 12 peaks for 10 to 90 degrees two-theta, by intensity:
42.54 deg, rel. 100.0; 42.28 deg, rel. 75.6; 43.32 deg, rel. 65.0; 36.40 deg, rel. 49.5; 37.60 deg, rel. 39.4; 62.13 deg, rel. 32.7; 29.90 deg, rel. 32.3; 47.79 deg, rel. 29.3; 61.50 deg, rel. 25.2; 30.98 deg, rel. 19.9; 77.31 deg, rel. 19.3; 78.91 deg, rel. 18.8

```
Nd2Ga2Fe15
1.0
4.275 2.468 4.179
-4.275 2.468 4.179
0.000 -4.937 4.179
Nd Ga Fe
2 2 15
direct
0.152 0.152 0.152 Nd
0.848 0.848 0.848 Nd
0.396 0.396 0.396 Ga
0.604 0.604 0.604 Ga
0.000 0.500 0.500 Fe
0.159 0.159 0.656 Fe
0.159 0.656 0.159 Fe
0.210 0.500 0.790 Fe
0.210 0.790 0.500 Fe
0.344 0.841 0.841 Fe
0.500 0.000 0.500 Fe
0.500 0.210 0.790 Fe
0.500 0.500 0.000 Fe
0.500 0.790 0.210 Fe
0.656 0.159 0.159 Fe
0.790 0.210 0.500 Fe
0.790 0.500 0.210 Fe
0.841 0.344 0.841 Fe
0.841 0.841 0.344 Fe
```



3.
Diffraction record for Rb3InS3. The powder X-ray diffraction pattern is calculated, not measured: it uses a DFT-relaxed cell (PBE, the Materials Project) and Cu Ka.
Peak positions follow from Bragg's law for the DFT cell and can differ from measured ones.

Top 12 peaks for 10 to 90 degrees two-theta, by intensity:
30.78 deg, rel. 100.0; 14.92 deg, rel. 98.3; 25.46 deg, rel. 92.5; 33.01 deg, rel. 88.6; 26.05 deg, rel. 84.9; 23.83 deg, rel. 78.6; 28.11 deg, rel. 73.8; 23.72 deg, rel. 72.6; 25.81 deg, rel. 67.3; 36.10 deg, rel. 62.3; 27.12 deg, rel. 50.7; 42.80 deg, rel. 46.3

```
Rb3InS3
1.0
4.529 -6.904 0.000
4.529 6.904 0.000
-1.599 0.000 7.874
Rb In S
6 2 6
direct
0.179 0.821 0.000 Rb
0.247 0.753 0.500 Rb
0.387 0.387 0.146 Rb
0.613 0.613 0.854 Rb
0.753 0.247 0.500 Rb
0.821 0.179 0.000 Rb
0.175 0.175 0.647 In
0.825 0.825 0.353 In
0.101 0.101 0.323 S
0.155 0.448 0.774 S
0.448 0.155 0.774 S
0.552 0.845 0.226 S
0.845 0.552 0.226 S
0.899 0.899 0.677 S
```



4.
Diffraction record for BaSrCu2O4. The powder X-ray diffraction pattern is calculated, not measured: it uses a DFT-relaxed cell (PBE, the Materials Project) and Cu Ka.
Peak positions follow from Bragg's law for the DFT cell and can differ from measured ones.

Top 12 peaks for 10 to 90 degrees two-theta, by intensity:
33.17 deg, rel. 100.0; 57.48 deg, rel. 39.6; 31.76 deg, rel. 37.7; 45.53 deg, rel. 28.4; 69.62 deg, rel. 13.1; 60.13 deg, rel. 11.7; 40.34 deg, rel. 10.2; 49.63 deg, rel. 9.7; 66.36 deg, rel. 8.5; 76.23 deg, rel. 8.4; 87.21 deg, rel. 7.1; 22.31 deg, rel. 7.1

```
BaSrCu2O4
1.0
3.984 0.000 0.000
0.000 3.984 0.000
0.000 0.000 7.348
Ba Sr Cu O
1 1 2 4
direct
0.000 0.000 0.000 Ba
0.000 0.000 0.500 Sr
0.500 0.500 0.271 Cu
0.500 0.500 0.729 Cu
0.000 0.500 0.267 O
0.000 0.500 0.733 O
0.500 0.000 0.267 O
0.500 0.000 0.733 O
```



5.
Diffraction record for Ni. The powder X-ray diffraction pattern is calculated, not measured: it uses a DFT-relaxed cell (PBE, the Materials Project) and Cu Ka.
Peak positions follow from Bragg's law for the DFT cell and can differ from measured ones.

Top 3 peaks for 10 to 90 degrees two-theta, by intensity:
44.78 deg, rel. 100.0; 52.18 deg, rel. 46.3; 76.92 deg, rel. 26.6

```
Ni
1.0
0.000 1.753 1.753
1.753 0.000 1.753
1.753 1.753 0.000
Ni
1
direct
0.000 0.000 0.000 Ni
```